(1)
Structure and computed X-ray powder pattern of EuMg6 (a crystal structure in Alexandria, relaxed with PBE; Cu Kα X-rays).
Intensities are scaled so that the largest is 100.

Peak list (10 most intense, 2θ = 10–90°, sorted by position)
index  2theta  d (Å)  I (rel.)
1 1 0  15.8  5.623  42
2 0 0  22.4  3.976  42
2 1 1  27.5  3.247  100
3 1 0  35.7  2.515  12
3 2 1  42.5  2.125  61
4 0 0  45.6  1.988  14
4 2 0  51.4  1.778  17
3 3 2  54.1  1.695  15
5 2 1  64.1  1.452  18
6 1 1  73.4  1.290  18

Crystal structure
```
data_EuMg6
_chemical_formula_sum 'Eu2 Mg12'
_cell_length_a 7.952
_cell_length_b 7.952
_cell_length_c 7.952
_cell_angle_alpha 90.00
_cell_angle_beta 90.00
_cell_angle_gamma 90.00
_space_group_name_H-M_alt 'I m -3 m'
_space_group_IT_number 229
_space_group_name_Hall '-I 4 2 3'
loop_
_atom_site_label
_atom_site_type_symbol
_atom_site_fract_x
_atom_site_fract_y
_atom_site_fract_z
_atom_site_occupancy
Eu1 Eu 0.000 0.000 0.000 1
Mg1 Mg 0.000 0.250 0.500 1
```

***

(2)
Structure and computed X-ray powder pattern of Eu5Mg (a crystal structure in Alexandria, relaxed with PBE; Cu Kα X-rays).
Intensities are scaled so that the largest is 100.

Peak list (10 most intense, 2θ = 10–90°, sorted by position)
index  2theta  d (Å)  I (rel.)
1 0 1  21.3  4.178  12
1 1 0  27.0  3.300  25
0 0 2  29.2  3.062  25
1 1 1  30.8  2.905  100
1 1 2  40.2  2.244  17
3 0 0  47.7  1.905  19
1 1 3  52.7  1.736  22
3 0 2  56.9  1.618  23
2 2 1  57.9  1.593  16
4 1 1  78.2  1.222  13

Crystal structure
```
data_Eu5Mg
_chemical_formula_sum 'Eu5 Mg1'
_cell_length_a 6.5998
_cell_length_b 6.5998
_cell_length_c 6.1235
_cell_angle_alpha 90.00
_cell_angle_beta 90.00
_cell_angle_gamma 120.00
_space_group_name_H-M_alt 'P -6 2 m'
_space_group_IT_number 189
_space_group_name_Hall 'P -6 -2'
loop_
_atom_site_label
_atom_site_type_symbol
_atom_site_fract_x
_atom_site_fract_y
_atom_site_fract_z
_atom_site_occupancy
Eu1 Eu 0.0000 0.6795 0.0000 1
Eu2 Eu 0.3333 0.6667 0.5000 1
Mg1 Mg 0.0000 0.0000 0.5000 1
```

***

> What is the formula in the first record?

EuMg6